1.
This entry pairs a crystal structure of Na2ZrAgO4 with its calculated X-ray powder pattern. Radiation: Cu Kα, 1.54184 Å. Structure: a cell relaxed with PBE.
Kinematic intensities with the Lorentz-polarization factor, no thermal factor.

Structural model:
```
data_Na2ZrAgO4
_cell_length_a 6.0157
_cell_length_b 6.0157
_cell_length_c 6.5653
_cell_angle_alpha 90.00
_cell_angle_beta 90.00
_cell_angle_gamma 90.00
_space_group_name_H-M_alt 'I -4'
_space_group_IT_number 82
loop_
_space_group_symop_operation_xyz
'x,y,z'
'y,-x,-z'
'-x,-y,z'
'-y,x,-z'
'x+1/2,y+1/2,z+1/2'
'y+1/2,-x+1/2,-z+1/2'
'-x+1/2,-y+1/2,z+1/2'
'-y+1/2,x+1/2,-z+1/2'
loop_
_atom_site_label
_atom_site_type_symbol
_atom_site_fract_x
_atom_site_fract_y
_atom_site_fract_z
Na1 Na 0.0000 0.0000 0.0000
Na2 Na 0.0000 0.5000 0.2500
Zr1 Zr 0.0000 0.5000 0.7500
Ag1 Ag 0.0000 0.0000 0.5000
O1 O 0.1796 0.6947 0.5636
```

Principal peaks in the range 10 to 90 degrees two-theta, sorted by position:
20.02 deg, rel. 925, (1 0 1); 29.70 deg, rel. 506, (2 0 0); 34.51 deg, rel. 1000, (1 1 2); 36.08 deg, rel. 351, (2 1 1); 42.50 deg, rel. 354, (2 2 0); 54.01 deg, rel. 124, (2 1 3); 55.86 deg, rel. 539, (3 1 2); 64.70 deg, rel. 152, (2 0 4); 69.94 deg, rel. 119, (2 4 0); 87.95 deg, rel. 116, (1 5 2)


2.
This entry pairs a crystal structure of Sc2AlAu3 with its calculated X-ray powder pattern. Radiation: Cu Kα, 1.54184 Å. Structure: a cell relaxed with PBE.
Kinematic intensities with the Lorentz-polarization factor, no thermal factor.

Structural model:
```
data_Sc2AlAu3
_cell_length_a 4.7122
_cell_length_b 4.7122
_cell_length_c 11.5919
_cell_angle_alpha 90.00
_cell_angle_beta 90.00
_cell_angle_gamma 120.00
_space_group_name_H-M_alt 'P -3 m 1'
_space_group_IT_number 164
_space_group_name_Hall '-P 3 2"'
loop_
_atom_site_label
_atom_site_type_symbol
_atom_site_fract_x
_atom_site_fract_y
_atom_site_fract_z
Sc1 Sc 0.0000 0.0000 0.0000
Sc2 Sc 0.0000 0.0000 0.5000
Sc3 Sc 0.3333 0.6667 0.1761
Al1 Al 0.3333 0.6667 0.6631
Au1 Au 0.0000 0.0000 0.2482
Au2 Au 0.3333 0.6667 0.4212
Au3 Au 0.3333 0.6667 0.9105
```

Principal peaks in the range 10 to 90 degrees two-theta, sorted by position:
26.72 deg, rel. 1000, (0 1 2); 38.09 deg, rel. 889, (1 0 4); 38.20 deg, rel. 894, (1 1 0); 47.23 deg, rel. 228, (2 0 2); 55.04 deg, rel. 305, (0 2 4); 62.13 deg, rel. 202, (1 1 6); 62.29 deg, rel. 205, (1 2 2); 68.75 deg, rel. 150, (0 1 8); 69.00 deg, rel. 468, (3 0 0); 81.75 deg, rel. 101, (2 2 0)


3.
This entry pairs a crystal structure of Ho3Ru2 with its calculated X-ray powder pattern. Radiation: Cu Kα, 1.54184 Å. Structure: a cell relaxed with PBE.
Kinematic intensities with the Lorentz-polarization factor, no thermal factor.

Structural model:
```
data_Ho3Ru2
_cell_length_a 14.2164
_cell_length_b 4.8040
_cell_length_c 10.1173
_cell_angle_alpha 90.00
_cell_angle_beta 90.49
_cell_angle_gamma 90.00
_space_group_name_H-M_alt 'C 1 2/m 1'
_space_group_IT_number 12
loop_
_space_group_symop_operation_xyz
'x,y,z'
'-x,-y,-z'
'-x,y,-z'
'x,-y,z'
'x+1/2,y+1/2,z'
'-x+1/2,-y+1/2,-z'
'-x+1/2,y+1/2,-z'
'x+1/2,-y+1/2,z'
loop_
_atom_site_label
_atom_site_type_symbol
_atom_site_fract_x
_atom_site_fract_y
_atom_site_fract_z
Ho1 Ho 0.0000 0.0000 0.0000
Ho2 Ho 0.0017 0.0000 0.3350
Ho3 Ho 0.1646 0.5000 0.3324
Ho4 Ho 0.1669 0.5000 0.6674
Ho5 Ho 0.1685 0.5000 0.0025
Ru1 Ru 0.0026 0.5000 0.8360
Ru2 Ru 0.1642 0.0000 0.8308
Ru3 Ru 0.1692 0.0000 0.5030
```

Principal peaks in the range 10 to 90 degrees two-theta, sorted by position:
26.42 deg, rel. 645, (3 1 0); 37.44 deg, rel. 488, (0 2 0); 37.60 deg, rel. 965, (3 1 -3); 37.84 deg, rel. 1000, (3 1 3); 37.98 deg, rel. 467, (6 0 0); 54.39 deg, rel. 343, (6 2 0); 67.65 deg, rel. 171, (3 3 -3); 67.81 deg, rel. 176, (3 3 3); 67.93 deg, rel. 259, (6 0 -6); 68.64 deg, rel. 241, (9 1 3)